Computed powder XRD pattern of LiThScS4 for Cu Kα (λ = 1.5418 Å), from a cell relaxed with GGA-PBE.
Peak positions follow from Bragg's law for the DFT cell and can differ from measured ones.

Largest 10 diffraction maxima, in order of rising 2θ, 10° ≤ 2θ ≤ 80°:
(1 0 1), 14.2 deg, intensity 100; (0 0 2), 16.0 deg, intensity 23; (1 2 1), 25.8 deg, intensity 53; (1 0 3), 26.9 deg, intensity 33; (2 2 0), 32.1 deg, intensity 46; (0 0 4), 32.4 deg, intensity 23; (1 2 3), 34.7 deg, intensity 23; (0 4 0), 43.7 deg, intensity 16; (2 2 4), 46.2 deg, intensity 45; (4 0 0), 48.2 deg, intensity 17

```
data_LiThScS4
_cell_length_a 7.5384
_cell_length_b 8.2870
_cell_length_c 11.0493
_cell_angle_alpha 90.00
_cell_angle_beta 90.00
_cell_angle_gamma 90.00
_symmetry_space_group_name_H-M 'I m m a'
_symmetry_Int_Tables_number 74
_symmetry_space_group_name_Hall '-I 2b 2'
loop_
_atom_site_label
_atom_site_type_symbol
_atom_site_fract_x
_atom_site_fract_y
_atom_site_fract_z
Li1 Li 0.0000 0.2500 0.1347
Th1 Th 0.0000 0.0000 0.5000
Sc1 Sc 0.2500 0.2500 0.7500
S1 S 0.0000 0.0310 0.7498
S2 S 0.2459 0.2500 0.5121
```